Computed powder X-ray diffraction pattern
Compound: MnAg2PbCl6
Radiation: Cu Kα (weighted mean of Kα1 and Kα2)
Structure: the PBE geometry in Alexandria

Structure:
Lattice parameters (Å, degrees): 6.9017 6.9017 19.3136 90.00 90.00 120.00
Space group R3 (No. 146, hexagonal axes)
One atom of each set of equivalent atoms:
Mn  0.0000  0.0000  0.0000
Ag  0.0000  0.0000  0.3081
Ag  0.0000  0.0000  0.7358
Pb  0.0000  0.0000  0.5101
Cl  0.0166  0.3760  0.7430
Cl  0.0378  0.6764  0.5921

Most intense lines, 2θ = 15–90°, by angle:
| d (Å) | Rel. int. |
| --- | --- |
| 5.710 | 57.5 |
| 3.756 | 100.0 |
| 3.451 | 83.9 |
| 3.244 | 64.8 |
| 3.041 | 28.2 |
| 2.541 | 48.4 |
| 2.354 | 41.9 |
| 2.046 | 43.5 |
| 1.992 | 54.4 |
| 1.950 | 28.4 |

---

Computed powder X-ray diffraction pattern
Compound: RbMnAgCl6
Radiation: Cu Kα (weighted mean of Kα1 and Kα2)
Structure: the PBE geometry in Alexandria

Structure:
Lattice parameters (Å, degrees): 6.7920 11.7831 6.9454 90.00 90.08 90.00
Space group C2 (No. 5)
One atom of each set of equivalent atoms:
Rb  0.0000  0.0000  0.0000
Mn  0.0000  0.6667  0.5000
Ag  0.0000  0.3335  0.5000
Cl  0.1245  0.5253  0.3079
Cl  0.1506  0.7998  0.3082
Cl  0.2254  0.1755  0.3073

Most intense lines, 2θ = 15–90°, by angle:
| d (Å) | Rel. int. |
| --- | --- |
| 4.491 | 100.0 |
| 3.399 | 19.0 |
| 3.053 | 28.6 |
| 2.710 | 20.8 |
| 2.429 | 65.4 |
| 2.155 | 10.8 |
| 2.119 | 31.7 |
| 1.962 | 21.3 |
| 1.820 | 11.2 |
| 1.546 | 10.8 |

---

Computed powder X-ray diffraction pattern
Compound: MnTl3Ag3Cl8
Radiation: Cu Kα (weighted mean of Kα1 and Kα2)
Structure: the PBE geometry in Alexandria

Structure:
Lattice parameters (Å, degrees): 14.1306 8.1307 8.7237 90.00 122.62 90.00
Space group C2/m (No. 12)
One atom of each set of equivalent atoms:
Mn  0.0000  0.0000  0.0000
Tl  0.0000  0.0000  0.5000
Tl  0.2500  0.2500  0.5000
Ag  0.0000  0.5000  0.0000
Ag  0.2500  0.2500  0.0000
Cl  0.0111  0.2283  0.8065
Cl  0.2161  0.0000  0.1928
Cl  0.2337  0.5000  0.1995

Most intense lines, 2θ = 15–90°, by angle:
| d (Å) | Rel. int. |
| --- | --- |
| 4.342 | 9.5 |
| 3.674 | 21.2 |
| 3.359 | 44.2 |
| 2.970 | 100.0 |
| 2.171 | 35.3 |
| 2.038 | 23.5 |
| 2.033 | 11.7 |
| 1.869 | 13.2 |
| 1.782 | 12.4 |
| 1.678 | 11.4 |